Calculated X-ray diffraction stick pattern of CaCeGeN3 for Cu Kα, from DFT lattice parameters and positions (GGA-PBE).
Neutral-atom scattering factors, no anomalous dispersion.

Cell and atoms:
```
CaCeGeN3
1.0
7.2824 0.0000 0.0000
0.0000 3.5779 0.0000
-1.7597 0.0000 8.1989
Ca Ce Ge N
2 2 2 6
Direct
0.1628 0.2500 0.1315
0.8372 0.7500 0.8685
0.3652 0.7500 0.8332
0.6348 0.2500 0.1668
0.0664 0.2500 0.6263
0.9336 0.7500 0.3737
0.0643 0.2500 0.8436
0.1504 0.7500 0.5533
0.4197 0.7500 0.1131
0.5803 0.2500 0.8869
0.8496 0.2500 0.4467
0.9357 0.7500 0.1564
```

Principal peaks in the range 2θ = 10–90°, by angle:
2θ 10.79, 8.199 Å, rel. 17, hkl 0 0 1
2θ 14.67, 6.040 Å, rel. 100, hkl 1 0 -1
2θ 27.21, 3.277 Å, rel. 12, hkl 0 1 1
2θ 29.58, 3.020 Å, rel. 24, hkl 2 0 -2
2θ 30.97, 2.888 Å, rel. 24, hkl 1 1 1
2θ 33.24, 2.696 Å, rel. 36, hkl 0 1 2
2θ 35.59, 2.522 Å, rel. 60, hkl 2 1 0
2θ 36.74, 2.446 Å, rel. 13, hkl 2 0 2